Entry 1:
# SiPb7Cl2O8
Calculated X-ray powder pattern, Cu Kα, 1.54184 Å. Input: a PBE-relaxed structure.

Structure:
```
SiPb7Cl2O8
1.0
5.728 0.000 0.000
0.000 2.864 11.802
0.000 -2.864 11.802
Si Pb Cl O
1 7 2 8
Cartesian
0.000 0.000 0.000
0.000 0.000 7.882
0.000 0.000 13.181
0.000 0.000 17.290
2.864 0.000 1.378
2.864 0.000 5.484
2.864 0.000 10.780
2.864 0.000 19.682
0.000 0.000 2.553
2.864 0.000 14.394
1.229 -1.635 11.738
1.229 1.635 11.738
1.433 -1.430 6.714
1.433 1.430 6.714
4.295 -1.430 6.714
4.295 1.430 6.714
4.499 -1.635 11.738
4.499 1.635 11.738
```

Top 8 peaks for 2θ from 10° to 80°, sorted by position:
d_spacing  I_rel
5.901  24
3.992  16
3.601  20
3.074  100
2.864  45
2.055  17
2.025  23
1.691  36

Entry 2:
# SrPbClO2
Calculated X-ray powder pattern, Cu Kα, 1.54184 Å. Input: a PBE-relaxed structure.

Structure:
```
SrPbClO2
1.0
6.809 0.000 0.000
0.000 4.327 0.000
-0.988 0.000 8.183
Sr Pb Cl O
2 2 2 4
Cartesian
0.902 1.082 3.278
4.919 3.245 4.905
0.081 1.082 7.175
5.741 3.245 1.009
3.020 3.245 2.433
2.801 1.082 5.750
-0.313 3.245 3.005
-0.757 3.245 7.335
6.578 1.082 0.849
6.134 1.082 5.179
```

Top 8 peaks for 2θ from 10° to 80°, sorted by position:
d_spacing  I_rel
6.760  98
4.930  36
3.702  35
3.644  100
3.328  60
2.973  60
2.774  44
2.664  56

Entry 3:
# TaPb2ClO4
Calculated X-ray powder pattern, Cu Kα, 1.54184 Å. Input: a PBE-relaxed structure.

Structure:
```
TaPb2ClO4
1.0
10.630 0.000 0.000
0.000 3.222 0.000
-3.783 0.000 9.776
Ta Pb Cl O
2 4 2 8
Cartesian
0.000 0.000 0.000
5.315 1.611 0.000
-1.244 1.611 7.333
2.775 0.000 2.443
4.071 0.000 7.333
8.091 1.611 2.443
-1.892 0.000 4.888
3.423 1.611 4.888
-2.637 0.000 8.161
1.045 1.611 0.745
0.487 0.000 9.031
4.169 1.611 1.615
2.678 1.611 8.161
6.360 0.000 0.745
5.802 1.611 9.031
9.484 0.000 1.615
```

Top 8 peaks for 2θ from 10° to 80°, sorted by position:
d_spacing  I_rel
4.354  51
3.891  100
3.330  66
3.022  72
2.737  44
2.475  45
2.444  37
2.307  72

Entry 4:
# Tc2PbClO8
Calculated X-ray powder pattern, Cu Kα, 1.54184 Å. Input: a PBE-relaxed structure.

Structure:
```
Tc2PbClO8
1.0
5.953 -3.412 0.000
5.953 3.412 0.000
-1.976 0.000 6.224
Tc Pb Cl O
2 1 1 8
Cartesian
2.128 0.000 0.640
7.802 0.000 5.583
5.953 0.000 0.000
-0.988 0.000 3.112
2.749 1.973 5.149
0.389 0.000 5.155
7.181 1.973 1.074
3.724 0.000 1.367
6.206 0.000 4.857
2.749 -1.973 5.149
9.541 0.000 1.069
7.181 -1.973 1.074
```

Top 8 peaks for 2θ from 10° to 80°, sorted by position:
d_spacing  I_rel
6.224  100
3.964  44
3.412  33
3.307  96
3.161  18
2.992  24
2.644  36
1.949  20

Entry 5:
# TePb3Cl2O4
Calculated X-ray powder pattern, Cu Kα, 1.54184 Å. Input: a PBE-relaxed structure.

Structure:
```
TePb3Cl2O4
1.0
5.635 0.000 0.000
0.000 2.824 6.401
0.000 -2.824 6.401
Te Pb Cl O
1 3 2 4
Cartesian
0.000 0.000 0.000
0.000 0.000 8.687
2.818 0.000 2.212
2.818 0.000 5.881
0.000 0.000 4.087
2.818 0.000 10.310
1.312 -1.514 7.213
1.312 1.514 7.213
4.323 -1.514 7.213
4.323 1.514 7.213
```

Top 8 peaks for 2θ from 10° to 80°, sorted by position:
d_spacing  I_rel
6.401  16
3.808  46
2.914  100
2.821  45
2.116  24
1.995  25
1.702  14
1.646  37

Entry 6:
# TePb3Cl4O3
Calculated X-ray powder pattern, Cu Kα, 1.54184 Å. Input: a PBE-relaxed structure.

Structure:
```
TePb3Cl4O3
1.0
7.717 0.000 0.000
0.000 16.272 0.000
0.000 0.000 8.673
Te Pb Cl O
4 12 16 12
Cartesian
1.168 0.372 0.000
2.690 8.508 4.336
5.027 7.764 0.000
6.549 15.900 4.336
0.410 13.156 2.633
0.491 13.309 6.885
1.689 8.556 0.629
2.169 0.420 4.966
3.367 5.173 2.548
3.448 5.020 6.969
4.269 11.252 2.633
4.350 11.100 6.885
5.547 15.852 0.629
6.028 7.716 4.966
7.225 2.964 2.548
7.307 3.116 6.969
0.882 6.514 2.653
1.213 6.643 6.813
1.919 3.557 4.744
1.919 3.595 0.416
1.939 11.693 0.408
1.939 11.731 4.752
2.645 14.779 2.476
2.976 14.650 6.989
4.740 1.622 2.653
5.071 1.493 6.813
5.777 4.542 0.416
5.778 4.579 4.744
5.798 12.678 4.752
5.798 12.716 0.408
6.504 9.629 2.476
6.835 9.758 6.989
0.050 15.115 8.429
0.345 14.925 5.017
1.002 1.121 6.929
2.856 9.257 2.593
3.513 6.789 0.681
3.809 6.979 4.092
3.908 9.294 8.429
4.203 9.483 5.017
4.861 7.015 6.929
6.715 15.151 2.593
7.372 1.347 0.681
7.667 1.157 4.092
```

Top 8 peaks for 2θ from 10° to 80°, sorted by position:
d_spacing  I_rel
6.972  58
4.438  57
3.827  100
3.486  43
3.428  44
3.101  70
2.883  68
2.466  43

Entry 7:
# PmS2Cl2O6
Calculated X-ray powder pattern, Cu Kα, 1.54184 Å. Input: a PBE-relaxed structure.

Structure:
```
PmS2Cl2O6
1.0
6.223 0.000 0.000
-3.111 5.389 0.000
0.000 0.000 6.276
Pm S Cl O
1 2 2 6
Cartesian
0.000 0.000 0.000
0.000 3.593 5.707
3.111 1.796 0.569
0.000 3.593 1.737
3.111 1.796 4.539
0.000 2.175 5.255
-1.228 4.302 5.255
1.883 1.087 1.021
1.228 4.302 5.255
4.340 1.087 1.021
3.111 3.214 1.021
```

Top 8 peaks for 2θ from 10° to 80°, sorted by position:
d_spacing  I_rel
6.276  100
4.089  49
3.111  62
2.788  42
2.712  50
2.476  17
2.044  18
1.937  21

Entry 8:
# PmTcClO4
Calculated X-ray powder pattern, Cu Kα, 1.54184 Å. Input: a PBE-relaxed structure.

Structure:
```
PmTcClO4
1.0
5.265 -3.677 0.000
5.265 3.677 0.000
-1.770 0.000 6.759
Pm Tc Cl O
2 2 2 8
Cartesian
2.122 0.000 0.699
6.637 0.000 6.060
2.576 0.000 4.868
6.184 0.000 1.891
-1.232 0.000 5.168
9.991 0.000 1.590
1.681 1.323 5.773
2.165 0.000 3.170
4.488 0.000 1.460
1.681 -1.323 5.773
7.078 1.323 0.986
4.271 0.000 5.298
6.594 0.000 3.589
7.078 -1.323 0.986
```

Top 8 peaks for 2θ from 10° to 80°, sorted by position:
d_spacing  I_rel
6.759  55
5.093  47
3.677  100
3.648  61
3.147  57
3.085  64
2.592  65
1.838  29

Entry 9:
# PmTeClO4
Calculated X-ray powder pattern, Cu Kα, 1.54184 Å. Input: a PBE-relaxed structure.

Structure:
```
PmTeClO4
1.0
5.278 -3.736 0.000
5.278 3.736 0.000
-1.986 0.000 6.833
Pm Te Cl O
2 2 2 8
Cartesian
2.105 0.000 0.811
6.465 0.000 6.022
2.375 0.000 4.979
6.196 0.000 1.854
-1.393 0.000 5.273
9.964 0.000 1.560
1.475 1.369 5.859
2.034 0.000 3.195
4.415 0.000 1.474
1.475 -1.369 5.859
7.096 1.369 0.975
4.156 0.000 5.359
6.537 0.000 3.639
7.096 -1.369 0.975
```

Top 8 peaks for 2θ from 10° to 80°, sorted by position:
d_spacing  I_rel
6.833  44
5.069  45
3.736  100
3.617  55
3.208  56
3.120  55
2.646  37
1.869  31

Entry 10:
# Pr2Ta2Cl2O7
Calculated X-ray powder pattern, Cu Kα, 1.54184 Å. Input: a PBE-relaxed structure.

Structure:
```
Pr2Ta2Cl2O7
1.0
7.821 -1.983 0.000
7.821 1.983 0.000
-2.777 0.000 6.388
Pr Ta Cl O
2 2 2 7
Cartesian
2.540 0.000 1.053
10.325 0.000 5.335
6.716 0.000 1.287
6.148 0.000 5.101
1.231 0.000 3.628
11.634 0.000 2.760
-1.614 0.000 5.331
4.909 0.000 0.449
4.215 0.000 5.417
6.432 0.000 3.194
8.650 0.000 0.972
7.956 0.000 5.939
14.479 0.000 1.058
```

Top 8 peaks for 2θ from 10° to 80°, sorted by position:
d_spacing  I_rel
6.388  50
3.850  43
3.823  33
3.137  39
3.069  64
3.053  100
2.590  60
1.940  33

Entry 11:
# Pr3TeCl2O6
Calculated X-ray powder pattern, Cu Kα, 1.54184 Å. Input: a PBE-relaxed structure.

Structure:
```
Pr3TeCl2O6
1.0
6.119 -3.428 0.000
6.119 3.428 0.000
-0.898 0.000 5.559
Pr Te Cl O
3 1 2 6
Cartesian
0.000 0.000 0.000
2.611 1.714 2.779
2.611 -1.714 2.779
5.670 0.000 2.779
1.777 0.000 4.816
9.564 0.000 0.742
4.767 1.625 3.890
6.574 1.625 1.669
3.875 0.000 1.835
7.465 0.000 3.724
4.767 -1.625 3.890
6.574 -1.625 1.669
```

Top 8 peaks for 2θ from 10° to 80°, sorted by position:
d_spacing  I_rel
5.559  72
4.236  80
3.915  100
3.020  81
2.982  86
2.918  58
2.779  57
2.118  69